For PrTe7Pb5, a crystal structure in Alexandria, relaxed with PBE gives the simulated PXRD pattern in this record (CuKα).

Crystal structure
a b c (Å): 8.0739 8.0739 26.7157
angles (deg): 90.41 90.41 32.82
Positions (direct):
Pr 0.0000 0.0000 0.0000
Pr 0.5994 0.5994 0.5008
Te 0.0140 0.0140 0.4219
Te 0.1597 0.1597 0.7772
Te 0.1857 0.1857 0.1995
Te 0.2452 0.2452 0.4856
Te 0.3640 0.3640 0.9845
Te 0.4358 0.4358 0.7055
Te 0.4626 0.4626 0.2735
Te 0.6182 0.6182 0.9396
Te 0.6344 0.6344 0.0457
Te 0.6951 0.6951 0.6164
Te 0.7400 0.7400 0.3456
Te 0.8864 0.8864 0.8489
Te 0.9252 0.9252 0.1151
Te 0.9813 0.9813 0.5590
Pb 0.0741 0.0741 0.6625
Pb 0.1016 0.1016 0.3159
Pb 0.2601 0.2601 0.8847
Pb 0.2889 0.2889 0.0906
Pb 0.3385 0.3385 0.5871
Pb 0.3672 0.3672 0.3926
Pb 0.5249 0.5249 0.8086
Pb 0.5500 0.5500 0.1704
Pb 0.7999 0.7999 0.7403
Pb 0.8221 0.8221 0.2411

Top 10 peaks for 2θ from 15° to 90°, by intensity:
d [Å], I/Imax
3.312, 100
2.281, 77
3.192, 75
2.456, 40
3.872, 25
3.390, 25
3.414, 24
3.055, 24
2.316, 21
3.433, 19